This entry pairs a crystal structure of U3Cu with its calculated powder diffractogram. Radiation: Cu Kα. Structure: DFT lattice parameters and positions (PBE).

Atomic structure:
Cell: 4.6549 4.6549 6.7291 Å, 90.00 90.00 90.00°
Space group I4/mmm (No. 139)
Inequivalent atoms, fractional coordinates:
U 0.0000 0.0000 0.0000 x2
U 0.0000 0.5000 0.2500 x4
Cu 0.0000 0.0000 0.5000 x2

Peak list (8 most intense, 2θ = 10–90°, sorted by position)
| index | 2θ (°) | d/Å | I_rel |
| --- | --- | --- | --- |
| 1 0 1 | 23.2 | 3.828 | 15 |
| 1 1 2 | 38.3 | 2.353 | 100 |
| 2 0 0 | 38.7 | 2.327 | 48 |
| 0 0 4 | 54.5 | 1.682 | 9 |
| 2 2 0 | 55.9 | 1.646 | 17 |
| 2 0 4 | 68.9 | 1.363 | 19 |
| 3 1 2 | 69.7 | 1.349 | 36 |
| 2 2 4 | 81.9 | 1.176 | 12 |



This entry pairs a crystal structure of Sm2Co18Si4C3 with its calculated powder diffractogram. Radiation: Cu Kα. Structure: DFT lattice parameters and positions (PBE).

Atomic structure:
Cell: 11.7407 9.8773 6.3966 Å, 90.00 122.71 90.00°
Space group C2/m (No. 12)
Inequivalent atoms, fractional coordinates:
Sm 0.2452 0.0000 0.3672 x4
Co 0.0453 0.1209 0.8573 x8
Co 0.0465 0.3736 0.7425 x8
Co 0.1234 0.2011 0.5693 x8
Co 0.1231 0.2920 0.1768 x8
Co 0.2482 0.0000 0.8807 x4
Si 0.0000 0.0000 0.5000 x2
Si 0.0000 0.5000 0.0000 x2
Si 0.2500 0.2500 0.0000 x4
C 0.0000 0.5000 0.5000 x2
C 0.2500 0.2500 0.5000 x4

Peak list (8 most intense, 2θ = 10–90°, sorted by position)
| index | 2θ (°) | d/Å | I_rel |
| --- | --- | --- | --- |
| 2 2 0 | 25.5 | 3.492 | 18 |
| 1 3 -1 | 30.5 | 2.929 | 23 |
| 3 1 -2 | 30.7 | 2.908 | 27 |
| 1 3 -2 | 40.3 | 2.238 | 72 |
| 5 1 -2 | 40.4 | 2.231 | 61 |
| 2 4 0 | 40.9 | 2.209 | 100 |
| 2 0 -3 | 43.4 | 2.085 | 27 |
| 4 0 1 | 48.2 | 1.889 | 26 |



This entry pairs a crystal structure of Al45Cr7 with its calculated powder diffractogram. Radiation: Cu Kα. Structure: DFT lattice parameters and positions (PBE).

Atomic structure:
Cell: 20.5989 7.5608 10.9277 Å, 90.00 107.36 90.00°
Space group C2/m (No. 12)
Inequivalent atoms, fractional coordinates:
Al 0.0000 0.0000 0.0000 x2
Al 0.0221 0.0000 0.2563 x4
Al 0.0359 0.3115 0.7051 x8
Al 0.0456 0.3034 0.1218 x8
Al 0.0693 0.1823 0.4902 x8
Al 0.0806 0.5000 0.9396 x4
Al 0.0904 0.5000 0.3426 x4
Al 0.1151 0.0000 0.7292 x4
Al 0.1259 0.0000 0.1341 x4
Al 0.1285 0.5000 0.6121 x4
Al 0.1654 0.1931 0.3548 x8
Al 0.1817 0.3131 0.8549 x8
Al 0.1898 0.3147 0.1191 x8
Al 0.2065 0.1874 0.6343 x8
Al 0.2076 0.0000 0.9860 x4
Al 0.2240 0.5000 0.4906 x4
Cr 0.0000 0.5000 0.5000 x2
Cr 0.0852 0.1747 0.9179 x8
Cr 0.2498 0.0000 0.2617 x4

Peak list (8 most intense, 2θ = 10–90°, sorted by position)
| index | 2θ (°) | d/Å | I_rel |
| --- | --- | --- | --- |
| 1 1 -1 | 14.4 | 6.159 | 65 |
| 5 1 3 | 41.2 | 2.190 | 54 |
| 9 1 -1 | 41.4 | 2.182 | 45 |
| 4 2 -4 | 41.5 | 2.174 | 60 |
| 5 3 -1 | 42.1 | 2.147 | 82 |
| 4 0 4 | 43.9 | 2.063 | 100 |
| 8 2 0 | 43.9 | 2.060 | 57 |
| 3 3 -3 | 44.1 | 2.053 | 97 |



Please write out number 3 again, unchanged.
This entry pairs a crystal structure of Al45Cr7 with its calculated powder diffractogram. Radiation: Cu Kα. Structure: DFT lattice parameters and positions (PBE).

Atomic structure:
Cell: 20.5989 7.5608 10.9277 Å, 90.00 107.36 90.00°
Space group C2/m (No. 12)
Inequivalent atoms, fractional coordinates:
Al 0.0000 0.0000 0.0000 x2
Al 0.0221 0.0000 0.2563 x4
Al 0.0359 0.3115 0.7051 x8
Al 0.0456 0.3034 0.1218 x8
Al 0.0693 0.1823 0.4902 x8
Al 0.0806 0.5000 0.9396 x4
Al 0.0904 0.5000 0.3426 x4
Al 0.1151 0.0000 0.7292 x4
Al 0.1259 0.0000 0.1341 x4
Al 0.1285 0.5000 0.6121 x4
Al 0.1654 0.1931 0.3548 x8
Al 0.1817 0.3131 0.8549 x8
Al 0.1898 0.3147 0.1191 x8
Al 0.2065 0.1874 0.6343 x8
Al 0.2076 0.0000 0.9860 x4
Al 0.2240 0.5000 0.4906 x4
Cr 0.0000 0.5000 0.5000 x2
Cr 0.0852 0.1747 0.9179 x8
Cr 0.2498 0.0000 0.2617 x4

Peak list (8 most intense, 2θ = 10–90°, sorted by position)
| index | 2θ (°) | d/Å | I_rel |
| --- | --- | --- | --- |
| 1 1 -1 | 14.4 | 6.159 | 65 |
| 5 1 3 | 41.2 | 2.190 | 54 |
| 9 1 -1 | 41.4 | 2.182 | 45 |
| 4 2 -4 | 41.5 | 2.174 | 60 |
| 5 3 -1 | 42.1 | 2.147 | 82 |
| 4 0 4 | 43.9 | 2.063 | 100 |
| 8 2 0 | 43.9 | 2.060 | 57 |
| 3 3 -3 | 44.1 | 2.053 | 97 |